# Sn3Sb
Calculated PXRD pattern, Cu Kα (λ = 1.5418 Å). Input: a structure optimized by DFT (GGA-PBE).
Kinematic intensities with the Lorentz-polarization factor, no thermal factor.

Atomic structure:
a = 4.823 Å, b = 4.823 Å, c = 4.823 Å
α = 90.00°, β = 90.00°, γ = 90.00°
Fractional coordinates of all 4 atoms:
Sn (0.000, 0.000, 0.500)
Sn (0.000, 0.500, 0.000)
Sn (0.500, 0.000, 0.000)
Sb (0.500, 0.500, 0.500)

Largest 5 diffraction maxima, low angle first, 5° ≤ 2θ ≤ 70°:
32.15 deg, intensity 1000; 37.29 deg, intensity 505; 53.76 deg, intensity 357; 64.03 deg, intensity 427; 67.25 deg, intensity 124